[1]
Ca3ReCl: computed X-ray diffraction stick pattern (λ = 1.5418 Å (Cu Kα)), based on a PBE-relaxed structure.

Structural model:
Cell lengths 5.204, 5.204, 5.204 Å; angles 90.00, 90.00, 90.00 degrees
Space group Pm-3m (No. 221)
Inequivalent atoms, fractional coordinates:
Ca (0.000, 0.000, 0.500) [3 per cell]
Re (0.500, 0.500, 0.500) [1 per cell]
Cl (0.000, 0.000, 0.000) [1 per cell]

Largest 10 diffraction maxima, in order of rising 2θ, 2θ from 10° to 90°:
| hkl | Position (°2θ) | I_rel |
| --- | --- | --- |
| 1 0 0 | 17.04 | 35 |
| 1 1 0 | 24.19 | 100 |
| 1 1 1 | 29.73 | 96 |
| 2 0 0 | 34.47 | 77 |
| 2 1 0 | 38.69 | 22 |
| 2 1 1 | 42.55 | 45 |
| 2 2 0 | 49.54 | 53 |
| 3 1 1 | 58.85 | 40 |
| 3 2 1 | 67.32 | 23 |
| 4 2 0 | 82.98 | 23 |

---

[2]
CaRhSCl2: computed X-ray diffraction stick pattern (λ = 1.5418 Å (Cu Kα)), based on a PBE-relaxed structure.

Structural model:
Cell lengths 4.741, 4.741, 4.859 Å; angles 90.00, 90.00, 90.00 degrees
Space group P4/mmm (No. 123)
Inequivalent atoms, fractional coordinates:
Ca (0.000, 0.000, 0.000) [1 per cell]
Rh (0.500, 0.500, 0.500) [1 per cell]
S (0.500, 0.500, 0.000) [1 per cell]
Cl (0.000, 0.500, 0.500) [2 per cell]

Largest 10 diffraction maxima, in order of rising 2θ, 2θ from 10° to 90°:
| hkl | Position (°2θ) | I_rel |
| --- | --- | --- |
| 0 0 1 | 18.26 | 49 |
| 1 0 0 | 18.72 | 84 |
| 1 0 1 | 26.26 | 100 |
| 1 1 0 | 26.59 | 44 |
| 0 0 2 | 37.00 | 48 |
| 2 0 0 | 37.96 | 89 |
| 2 1 1 | 46.75 | 41 |
| 2 0 2 | 54.05 | 59 |
| 2 2 0 | 54.77 | 28 |
| 2 2 2 | 67.95 | 28 |

---

[3]
Sr2CaS2Cl2: computed X-ray diffraction stick pattern (λ = 1.5418 Å (Cu Kα)), based on a PBE-relaxed structure.

Structural model:
Cell lengths 5.282, 5.282, 14.904 Å; angles 90.00, 90.00, 90.00 degrees
Space group I4/mmm (No. 139)
Inequivalent atoms, fractional coordinates:
Sr (0.000, 0.000, 0.118) [4 per cell]
Ca (0.000, 0.000, 0.500) [2 per cell]
S (0.000, 0.500, 0.000) [4 per cell]
Cl (0.000, 0.000, 0.308) [4 per cell]

Largest 10 diffraction maxima, in order of rising 2θ, 2θ from 10° to 90°:
| hkl | Position (°2θ) | I_rel |
| --- | --- | --- |
| 0 0 2 | 11.88 | 18 |
| 1 0 1 | 17.82 | 17 |
| 1 1 0 | 23.82 | 66 |
| 1 0 3 | 24.60 | 16 |
| 2 0 0 | 33.96 | 100 |
| 1 0 5 | 34.55 | 65 |
| 2 2 0 | 48.76 | 21 |
| 2 1 5 | 49.22 | 45 |
| 2 0 8 | 60.80 | 21 |
| 3 2 5 | 71.80 | 14 |